Diffraction record for Mn4InO8. The XRD peak list is computed, not measured: it uses a crystal structure in Alexandria, relaxed with PBE+U and a wavelength of 1.5418 Å.

```
Mn4InO8
1.0
5.804 0.000 0.000
-1.465 5.617 0.000
-1.470 -3.278 4.926
Mn In O
4 1 8
direct
0.001 0.219 0.290 Mn
0.494 0.232 0.243 Mn
0.506 0.768 0.757 Mn
0.999 0.781 0.710 Mn
0.000 0.500 0.000 In
0.167 0.516 0.716 O
0.167 0.960 0.195 O
0.311 0.486 0.313 O
0.347 0.035 0.824 O
0.653 0.965 0.176 O
0.689 0.514 0.687 O
0.833 0.040 0.805 O
0.833 0.484 0.284 O
```

Main lines, in order of falling intensity (10° ≤ 2θ ≤ 80°):
Position (°2θ)  Rel. int.  (hkl)
17.48  100  0 1 -1
32.91  82  0 1 1
17.36  68  1 0 0
35.13  62  2 0 0
34.95  61  -2 1 1
47.44  53  0 1 -3
32.04  50  0 2 -1
30.22  49  0 1 -2
51.37  47  2 -3 1
19.61  46  1 -1 0